# PmPrDy2Ho5
Theoretical powder diffractogram, Cu Kα (λ = 1.5418 Å). Input: a DFT-relaxed cell (PBE, Alexandria).
Neutral-atom scattering factors, no anomalous dispersion.

Top 10 peaks for 10° ≤ 2θ ≤ 80°, in order of rising 2θ:
two_theta, d (Å), intensity
28.78, 3.102, 100.0
31.19, 2.867, 97.1
32.24, 2.777, 16.8
37.40, 2.405, 19.1
37.50, 2.398, 16.3
42.88, 2.109, 22.5
48.06, 1.893, 13.4
52.50, 1.743, 20.6
56.96, 1.617, 19.9
64.90, 1.437, 14.3

Cell and atoms:
```
data_PmPrDy2Ho5
_chemical_formula_sum 'Pm2 Pr2 Dy4 Ho10'
_symmetry_space_group_name_H-M 'P 1'
_symmetry_Int_Tables_number 1
_symmetry_space_group_name_Hall 'P 1'
_cell_length_a 9.7923
_cell_length_b 9.7923
_cell_length_c 9.7923
_cell_angle_alpha 126.72
_cell_angle_beta 126.72
_cell_angle_gamma 78.71
loop_
_atom_site_label
_atom_site_type_symbol
_atom_site_fract_x
_atom_site_fract_y
_atom_site_fract_z
Pm1 Pm 0.2500 0.2500 0.0000
Pm2 Pm 0.7500 0.7500 0.0000
Pr1 Pr 0.2500 0.7500 0.5000
Pr2 Pr 0.7500 0.2500 0.5000
Dy1 Dy 0.1160 0.6160 0.7320
Dy2 Dy 0.3840 0.1160 0.5000
Dy3 Dy 0.6160 0.8840 0.5000
Dy4 Dy 0.8840 0.3840 0.2680
Ho1 Ho 0.0000 0.0000 0.0000
Ho2 Ho 0.0702 0.1631 0.5000
Ho3 Ho 0.1631 0.6631 0.0928
Ho4 Ho 0.3369 0.4298 0.5000
Ho5 Ho 0.4298 0.9298 0.0928
Ho6 Ho 0.5000 0.5000 0.0000
Ho7 Ho 0.5702 0.0702 0.9072
Ho8 Ho 0.6631 0.5702 0.5000
Ho9 Ho 0.8369 0.3369 0.9072
Ho10 Ho 0.9298 0.8369 0.5000
```



# Pm2Pr2DyHo
Theoretical powder diffractogram, Cu Kα (λ = 1.5418 Å). Input: a DFT-relaxed cell (PBE, Alexandria).
Neutral-atom scattering factors, no anomalous dispersion.

Top 10 peaks for 10° ≤ 2θ ≤ 80°, in order of rising 2θ:
two_theta, d (Å), intensity
30.96, 2.888, 91.8
31.20, 2.867, 100.0
40.44, 2.231, 10.2
44.53, 2.035, 33.7
55.37, 1.659, 35.3
55.53, 1.655, 19.4
61.42, 1.510, 29.0
65.08, 1.433, 11.9
73.80, 1.284, 14.9
79.10, 1.211, 13.8

Cell and atoms:
```
data_Pm2Pr2DyHo
_chemical_formula_sum 'Pm4 Pr4 Dy2 Ho2'
_symmetry_space_group_name_H-M 'P 1'
_symmetry_Int_Tables_number 1
_symmetry_space_group_name_Hall 'P 1'
_cell_length_a 7.1027
_cell_length_b 5.7321
_cell_length_c 9.9316
_cell_angle_alpha 90.00
_cell_angle_beta 90.00
_cell_angle_gamma 90.00
loop_
_atom_site_label
_atom_site_type_symbol
_atom_site_fract_x
_atom_site_fract_y
_atom_site_fract_z
Pm1 Pm 0.2500 0.0000 0.1638
Pm2 Pm 0.2500 0.5000 0.6678
Pm3 Pm 0.7500 0.0000 0.8362
Pm4 Pm 0.7500 0.5000 0.3322
Pr1 Pr 0.0000 0.5000 0.0000
Pr2 Pr 0.2500 0.0000 0.8230
Pr3 Pr 0.5000 0.5000 0.0000
Pr4 Pr 0.7500 0.0000 0.1770
Dy1 Dy 0.2500 0.5000 0.3408
Dy2 Dy 0.7500 0.5000 0.6592
Ho1 Ho 0.0000 0.0000 0.5000
Ho2 Ho 0.5000 0.0000 0.5000
```



# PmPr2Dy4Ho
Theoretical powder diffractogram, Cu Kα (λ = 1.5418 Å). Input: a DFT-relaxed cell (PBE, Alexandria).
Neutral-atom scattering factors, no anomalous dispersion.

Top 10 peaks for 10° ≤ 2θ ≤ 80°, in order of rising 2θ:
two_theta, d (Å), intensity
30.45, 2.936, 100.0
35.12, 2.555, 17.1
35.29, 2.543, 16.9
35.51, 2.528, 16.6
50.64, 1.803, 12.2
50.80, 1.797, 12.0
60.13, 1.539, 14.5
60.36, 1.533, 14.4
60.65, 1.527, 14.1
63.37, 1.468, 12.4

Cell and atoms:
```
data_PmPr2Dy4Ho
_chemical_formula_sum 'Pm1 Pr2 Dy4 Ho1'
_symmetry_space_group_name_H-M 'P 1'
_symmetry_Int_Tables_number 1
_symmetry_space_group_name_Hall 'P 1'
_cell_length_a 5.0864
_cell_length_b 5.1109
_cell_length_c 10.1130
_cell_angle_alpha 90.00
_cell_angle_beta 90.00
_cell_angle_gamma 90.00
loop_
_atom_site_label
_atom_site_type_symbol
_atom_site_fract_x
_atom_site_fract_y
_atom_site_fract_z
Pm1 Pm 0.0000 0.0000 0.0000
Pr1 Pr 0.0000 0.0000 0.5000
Pr2 Pr 0.5000 0.5000 0.0000
Dy1 Dy 0.0000 0.5000 0.2521
Dy2 Dy 0.0000 0.5000 0.7479
Dy3 Dy 0.5000 0.0000 0.2516
Dy4 Dy 0.5000 0.0000 0.7484
Ho1 Ho 0.5000 0.5000 0.5000
```



# Pm4PrDy2Ho
Theoretical powder diffractogram, Cu Kα (λ = 1.5418 Å). Input: a DFT-relaxed cell (PBE, Alexandria).
Neutral-atom scattering factors, no anomalous dispersion.

Top 10 peaks for 10° ≤ 2θ ≤ 80°, in order of rising 2θ:
two_theta, d (Å), intensity
26.74, 3.334, 45.1
30.02, 2.977, 100.0
40.63, 2.220, 88.3
53.22, 1.721, 6.5
53.34, 1.717, 13.3
60.54, 1.529, 8.8
60.66, 1.527, 18.1
62.34, 1.489, 8.0
64.02, 1.454, 23.1
69.07, 1.360, 11.9

Cell and atoms:
```
data_Pm4PrDy2Ho
_chemical_formula_sum 'Pm8 Pr2 Dy4 Ho2'
_symmetry_space_group_name_H-M 'P 1'
_symmetry_Int_Tables_number 1
_symmetry_space_group_name_Hall 'P 1'
_cell_length_a 9.5721
_cell_length_b 9.5721
_cell_length_c 6.8842
_cell_angle_alpha 111.06
_cell_angle_beta 111.06
_cell_angle_gamma 88.30
loop_
_atom_site_label
_atom_site_type_symbol
_atom_site_fract_x
_atom_site_fract_y
_atom_site_fract_z
Pm1 Pm 0.2476 0.2519 0.4820
Pm2 Pm 0.2487 0.7499 0.9997
Pm3 Pm 0.2501 0.7513 0.5003
Pm4 Pm 0.2519 0.2476 0.9820
Pm5 Pm 0.7481 0.7524 0.0180
Pm6 Pm 0.7499 0.2487 0.4997
Pm7 Pm 0.7513 0.2501 0.0003
Pm8 Pm 0.7524 0.7481 0.5180
Pr1 Pr 0.0000 0.5000 0.0000
Pr2 Pr 0.5000 0.0000 0.5000
Dy1 Dy 0.0000 0.5000 0.5000
Dy2 Dy 0.5000 0.0000 0.0000
Dy3 Dy 0.5000 0.5000 0.0000
Dy4 Dy 0.5000 0.5000 0.5000
Ho1 Ho 0.0000 0.0000 0.0000
Ho2 Ho 0.0000 0.0000 0.5000
```



# PmDyHo2S4
Theoretical powder diffractogram, Cu Kα (λ = 1.5418 Å). Input: a DFT-relaxed cell (PBE, Alexandria).
Neutral-atom scattering factors, no anomalous dispersion.

Top 10 peaks for 10° ≤ 2θ ≤ 80°, in order of rising 2θ:
two_theta, d (Å), intensity
27.62, 3.229, 41.5
28.02, 3.184, 40.0
32.24, 2.777, 100.0
45.73, 1.984, 12.4
46.17, 1.966, 24.1
46.28, 1.962, 24.0
46.76, 1.943, 11.6
54.49, 1.684, 13.6
55.17, 1.665, 13.0
57.92, 1.592, 12.2

Cell and atoms:
```
data_PmDyHo2S4
_chemical_formula_sum 'Pm1 Dy1 Ho2 S4'
_symmetry_space_group_name_H-M 'P 1'
_symmetry_Int_Tables_number 1
_symmetry_space_group_name_Hall 'P 1'
_cell_length_a 6.8185
_cell_length_b 3.8856
_cell_length_c 6.8383
_cell_angle_alpha 90.00
_cell_angle_beta 108.95
_cell_angle_gamma 90.00
loop_
_atom_site_label
_atom_site_type_symbol
_atom_site_fract_x
_atom_site_fract_y
_atom_site_fract_z
Pm1 Pm 0.0000 0.0000 0.0000
Dy1 Dy 0.5000 0.5000 0.0000
Ho1 Ho 0.0000 0.5000 0.5000
Ho2 Ho 0.5000 0.0000 0.5000
S1 S 0.2531 0.0000 0.7439
S2 S 0.2588 0.5000 0.2602
S3 S 0.7412 0.5000 0.7398
S4 S 0.7469 0.0000 0.2561
```



# Pm3Dy4HoS8
Theoretical powder diffractogram, Cu Kα (λ = 1.5418 Å). Input: a DFT-relaxed cell (PBE, Alexandria).
Neutral-atom scattering factors, no anomalous dispersion.

Top 10 peaks for 10° ≤ 2θ ≤ 80°, in order of rising 2θ:
two_theta, d (Å), intensity
27.54, 3.238, 20.3
27.67, 3.224, 59.9
32.02, 2.795, 100.0
45.84, 1.980, 36.2
46.00, 1.973, 35.9
54.48, 1.684, 29.5
57.15, 1.612, 18.7
66.96, 1.397, 11.5
76.04, 1.252, 16.0
76.28, 1.248, 15.9

Cell and atoms:
```
data_Pm3Dy4HoS8
_chemical_formula_sum 'Pm3 Dy4 Ho1 S8'
_symmetry_space_group_name_H-M 'P 1'
_symmetry_Int_Tables_number 1
_symmetry_space_group_name_Hall 'P 1'
_cell_length_a 7.9190
_cell_length_b 7.9190
_cell_length_c 7.9190
_cell_angle_alpha 59.77
_cell_angle_beta 59.77
_cell_angle_gamma 59.77
loop_
_atom_site_label
_atom_site_type_symbol
_atom_site_fract_x
_atom_site_fract_y
_atom_site_fract_z
Pm1 Pm 0.0000 0.5000 0.5000
Pm2 Pm 0.5000 0.0000 0.5000
Pm3 Pm 0.5000 0.5000 0.0000
Dy1 Dy 0.0000 0.0000 0.5000
Dy2 Dy 0.0000 0.5000 0.0000
Dy3 Dy 0.5000 0.0000 0.0000
Dy4 Dy 0.5000 0.5000 0.5000
Ho1 Ho 0.0000 0.0000 0.0000
S1 S 0.2409 0.7507 0.7507
S2 S 0.2457 0.2457 0.2457
S3 S 0.2493 0.2493 0.7591
S4 S 0.2493 0.7591 0.2493
S5 S 0.7507 0.2409 0.7507
S6 S 0.7507 0.7507 0.2409
S7 S 0.7543 0.7543 0.7543
S8 S 0.7591 0.2493 0.2493
```